# 1
This entry pairs a crystal structure of K8AsO3 with its theoretical powder XRD pattern. Radiation: Cu Kα, 1.54184 Å. Structure: a cell relaxed with GGA-PBE.

Structural model:
```
data_K8AsO3
_cell_length_a 6.9031
_cell_length_b 6.9031
_cell_length_c 6.9031
_cell_angle_alpha 90.00
_cell_angle_beta 90.00
_cell_angle_gamma 90.00
_symmetry_space_group_name_H-M 'P 1'
_symmetry_Int_Tables_number 1
loop_
_symmetry_equiv_pos_as_xyz
'x,y,z'
loop_
_atom_site_label
_atom_site_fract_x
_atom_site_fract_y
_atom_site_fract_z
K1 0.2346 0.2346 0.2346
K2 0.2346 0.2346 0.7654
K3 0.2346 0.7654 0.2346
K4 0.2346 0.7654 0.7654
K5 0.7654 0.2346 0.2346
K6 0.7654 0.2346 0.7654
K7 0.7654 0.7654 0.2346
K8 0.7654 0.7654 0.7654
As1 0.5000 0.5000 0.5000
O1 0.0000 0.0000 0.5000
O2 0.0000 0.5000 0.0000
O3 0.5000 0.0000 0.0000
```

Most intense lines, 10 to 80 degrees two-theta, in order of rising 2θ:
- 2θ 18.17, I 12
- 2θ 22.31, I 22
- 2θ 25.81, I 26
- 2θ 28.92, I 17
- 2θ 36.83, I 100
- 2θ 43.48, I 10
- 2θ 53.07, I 14
- 2θ 54.83, I 7
- 2θ 66.34, I 26
- 2θ 78.36, I 7

# 2
This entry pairs a crystal structure of ReN2 with its theoretical powder XRD pattern. Radiation: Cu Kα, 1.54184 Å. Structure: a cell relaxed with GGA-PBE.

Structural model:
```
data_ReN2
_cell_length_a 4.8065
_cell_length_b 4.8065
_cell_length_c 2.8320
_cell_angle_alpha 90.00
_cell_angle_beta 90.00
_cell_angle_gamma 107.09
_symmetry_space_group_name_H-M 'P 1'
_symmetry_Int_Tables_number 1
loop_
_symmetry_equiv_pos_as_xyz
'x,y,z'
loop_
_atom_site_label
_atom_site_fract_x
_atom_site_fract_y
_atom_site_fract_z
Re1 0.0000 0.5000 0.0000
Re2 0.5000 0.0000 0.0000
N1 0.1884 0.8116 0.5000
N2 0.3857 0.3857 0.0000
N3 0.6143 0.6143 0.0000
N4 0.8116 0.1884 0.5000
```

Most intense lines, 10 to 80 degrees two-theta, in order of rising 2θ:
- 2θ 23.00, I 100
- 2θ 31.32, I 40
- 2θ 31.59, I 47
- 2θ 39.22, I 49
- 2θ 39.44, I 41
- 2θ 45.09, I 40
- 2θ 47.01, I 18
- 2θ 51.21, I 55
- 2θ 57.74, I 19
- 2θ 67.17, I 22

# 3
This entry pairs a crystal structure of Li13Zn11Ge12 with its theoretical powder XRD pattern. Radiation: Cu Kα, 1.54184 Å. Structure: a cell relaxed with GGA-PBE.

Structural model:
```
data_Li13Zn11Ge12
_cell_length_a 4.4713
_cell_length_b 4.4713
_cell_length_c 37.7343
_cell_angle_alpha 90.00
_cell_angle_beta 90.00
_cell_angle_gamma 120.00
_symmetry_space_group_name_H-M 'P 1'
_symmetry_Int_Tables_number 1
loop_
_symmetry_equiv_pos_as_xyz
'x,y,z'
loop_
_atom_site_label
_atom_site_fract_x
_atom_site_fract_y
_atom_site_fract_z
Li1 0.0000 0.0000 0.0000
Li2 0.0000 0.0000 0.0809
Li3 0.0000 0.0000 0.1661
Li4 0.0000 0.0000 0.2501
Li5 0.0000 0.0000 0.3336
Li6 0.0000 0.0000 0.4165
Li7 0.0000 0.0000 0.5000
Li8 0.0000 0.0000 0.5835
Li9 0.0000 0.0000 0.6664
Li10 0.0000 0.0000 0.7499
Li11 0.0000 0.0000 0.8339
Li12 0.0000 0.0000 0.9191
Li13 0.6667 0.3333 0.0000
Zn1 0.3333 0.6667 0.0669
Zn2 0.3333 0.6667 0.1788
Zn3 0.3333 0.6667 0.3213
Zn4 0.3333 0.6667 0.4288
Zn5 0.3333 0.6667 0.5712
Zn6 0.3333 0.6667 0.6787
Zn7 0.3333 0.6667 0.8212
Zn8 0.3333 0.6667 0.9332
Zn9 0.6667 0.3333 0.2506
Zn10 0.6667 0.3333 0.5000
Zn11 0.6667 0.3333 0.7494
Ge1 0.3333 0.6667 0.0000
Ge2 0.3333 0.6667 0.2495
Ge3 0.3333 0.6667 0.5000
Ge4 0.3333 0.6667 0.7505
Ge5 0.6667 0.3333 0.0913
Ge6 0.6667 0.3333 0.1580
Ge7 0.6667 0.3333 0.3412
Ge8 0.6667 0.3333 0.4084
Ge9 0.6667 0.3333 0.5916
Ge10 0.6667 0.3333 0.6588
Ge11 0.6667 0.3333 0.8420
Ge12 0.6667 0.3333 0.9087
```

Most intense lines, 10 to 80 degrees two-theta, in order of rising 2θ:
- 2θ 22.97, I 88
- 2θ 24.86, I 25
- 2θ 28.38, I 54
- 2θ 29.85, I 16
- 2θ 36.82, I 31
- 2θ 40.34, I 100
- 2θ 45.01, I 42
- 2θ 50.06, I 65
- 2θ 73.35, I 16
- 2θ 76.62, I 17

# 4
This entry pairs a crystal structure of Ho3Tl5 with its theoretical powder XRD pattern. Radiation: Cu Kα, 1.54184 Å. Structure: a cell relaxed with GGA-PBE.

Structural model:
```
data_Ho3Tl5
_cell_length_a 6.4916
_cell_length_b 6.4916
_cell_length_c 10.5939
_cell_angle_alpha 90.00
_cell_angle_beta 90.00
_cell_angle_gamma 75.18
_symmetry_space_group_name_H-M 'P 1'
_symmetry_Int_Tables_number 1
loop_
_symmetry_equiv_pos_as_xyz
'x,y,z'
loop_
_atom_site_label
_atom_site_fract_x
_atom_site_fract_y
_atom_site_fract_z
Ho1 0.1133 0.8867 0.7500
Ho2 0.2929 0.2929 0.0000
Ho3 0.2929 0.2929 0.5000
Ho4 0.7071 0.7071 0.0000
Ho5 0.7071 0.7071 0.5000
Ho6 0.8867 0.1133 0.2500
Tl1 0.0148 0.4412 0.7500
Tl2 0.2002 0.7998 0.0426
Tl3 0.2002 0.7998 0.4574
Tl4 0.4412 0.0148 0.2500
Tl5 0.5003 0.4997 0.2500
Tl6 0.4997 0.5003 0.7500
Tl7 0.5588 0.9852 0.7500
Tl8 0.7998 0.2002 0.5426
Tl9 0.7998 0.2002 0.9574
Tl10 0.9852 0.5588 0.2500
```

Most intense lines, 10 to 80 degrees two-theta, in order of rising 2θ:
- 2θ 29.01, I 10
- 2θ 33.17, I 100
- 2θ 33.85, I 26
- 2θ 34.88, I 23
- 2θ 35.09, I 16
- 2θ 38.31, I 14
- 2θ 38.38, I 11
- 2θ 49.39, I 14
- 2θ 60.13, I 10
- 2θ 67.49, I 10

# 5
This entry pairs a crystal structure of Nd2AlCo2 with its theoretical powder XRD pattern. Radiation: Cu Kα, 1.54184 Å. Structure: a cell relaxed with GGA-PBE.

Structural model:
```
data_Nd2AlCo2
_cell_length_a 5.6113
_cell_length_b 5.6113
_cell_length_c 5.6113
_cell_angle_alpha 138.01
_cell_angle_beta 119.98
_cell_angle_gamma 75.93
_symmetry_space_group_name_H-M 'P 1'
_symmetry_Int_Tables_number 1
loop_
_symmetry_equiv_pos_as_xyz
'x,y,z'
loop_
_atom_site_label
_atom_site_fract_x
_atom_site_fract_y
_atom_site_fract_z
Nd1 0.1992 0.1992 0.0000
Nd2 0.8008 0.8008 0.0000
Al1 0.5000 0.0000 0.5000
Co1 0.2298 0.5000 0.7298
Co2 0.7702 0.5000 0.2702
```

Most intense lines, 10 to 80 degrees two-theta, in order of rising 2θ:
- 2θ 18.72, I 18
- 2θ 27.28, I 71
- 2θ 34.11, I 100
- 2θ 34.35, I 40
- 2θ 37.83, I 56
- 2θ 37.97, I 52
- 2θ 40.50, I 46
- 2θ 45.10, I 29
- 2θ 60.38, I 26
- 2θ 66.67, I 43

- Number 4 is which compound?
  Ho3Tl5

- Number 2 is which compound?
  ReN2

- Number 2 is which compound?
  ReN2